For Pr3Cu, a PBE-relaxed structure gives the theoretical powder diffraction line list in this record (Cu Kα).
Peak positions follow from Bragg's law for the DFT cell and can differ from measured ones.

Structure:
Unit cell a=9.2226 b=9.2226 c=9.2226 alpha=96.70 beta=96.70 gamma=140.07
Fractional positions:
Pr 0.0738 0.0245 0.6021
Pr 0.1156 0.4472 0.5977
Pr 0.1301 0.3268 0.9579
Pr 0.3689 0.1723 0.0421
Pr 0.4223 0.4717 0.3979
Pr 0.4821 0.8844 0.3316
Pr 0.5283 0.9262 0.9506
Pr 0.5528 0.1505 0.6684
Pr 0.6732 0.6311 0.8034
Pr 0.8277 0.8699 0.1966
Pr 0.8495 0.5179 0.4023
Pr 0.9755 0.5777 0.0494
Cu 0.0647 0.7181 0.7514
Cu 0.2819 0.0334 0.3466
Cu 0.6867 0.9353 0.6534
Cu 0.9666 0.3133 0.2486

Main lines, low angle first (2θ = 15–90°):
| 2theta | intensity |
| --- | --- |
| 26.0 | 26 |
| 29.9 | 100 |
| 30.2 | 64 |
| 32.7 | 49 |
| 33.3 | 90 |
| 36.8 | 43 |
| 51.1 | 25 |
| 53.4 | 24 |